(1)
For La4Pr2Sm2Ho, a PBE-relaxed structure gives the simulated powder X-ray diffraction pattern in this record (Cu Ka).
Peak positions follow from Bragg's law for the DFT cell and can differ from measured ones.

The 6 most intense peaks (5 to 70 degrees two-theta), in order of rising 2θ:
- 29.7°, intensity 100
- 34.3°, intensity 34
- 34.6°, intensity 17
- 49.5°, intensity 18
- 58.5°, intensity 22
- 59.0°, intensity 14

Atomic structure:
abc: 8.268 8.268 8.216
angles: 107.70 107.70 36.90
Positions (direct):
1 La 0.055 0.055 0.330
2 La 0.278 0.278 0.669
3 La 0.722 0.722 0.331
4 La 0.945 0.945 0.670
5 Pr 0.388 0.388 0.330
6 Pr 0.612 0.612 0.670
7 Sm 0.166 0.166 0.000
8 Sm 0.834 0.834 0.000
9 Ho 0.500 0.500 0.000

(2)
For La4PrSmHo2, a PBE-relaxed structure gives the simulated powder X-ray diffraction pattern in this record (Cu Ka).
Peak positions follow from Bragg's law for the DFT cell and can differ from measured ones.

The 6 most intense peaks (5 to 70 degrees two-theta), in order of rising 2θ:
- 29.8°, intensity 100
- 30.2°, intensity 32
- 34.6°, intensity 67
- 49.5°, intensity 24
- 50.0°, intensity 23
- 59.1°, intensity 29

Atomic structure:
abc: 6.374 3.684 12.036
angles: 90.00 100.17 90.00
Positions (direct):
1 La 0.247 0.000 0.245
2 La 0.251 0.500 0.754
3 La 0.749 0.500 0.246
4 La 0.753 0.000 0.755
5 Pr 0.500 0.500 0.500
6 Sm 0.000 0.000 0.500
7 Ho 0.000 0.500 0.000
8 Ho 0.500 0.000 0.000

(3)
For LaPr6Sm2Ho, a PBE-relaxed structure gives the simulated powder X-ray diffraction pattern in this record (Cu Ka).
Peak positions follow from Bragg's law for the DFT cell and can differ from measured ones.

The 6 most intense peaks (5 to 70 degrees two-theta), in order of rising 2θ:
- 27.7°, intensity 36
- 29.6°, intensity 94
- 30.5°, intensity 100
- 30.7°, intensity 38
- 31.4°, intensity 18
- 32.7°, intensity 42

Atomic structure:
abc: 9.044 9.044 9.925
angles: 94.11 94.11 117.58
Positions (direct):
1 La 0.023 0.977 0.750
2 La 0.977 0.023 0.250
3 Pr 0.012 0.566 0.687
4 Pr 0.117 0.750 0.054
5 Pr 0.250 0.883 0.446
6 Pr 0.297 0.507 0.882
7 Pr 0.434 0.988 0.813
8 Pr 0.493 0.703 0.618
9 Pr 0.507 0.297 0.382
10 Pr 0.566 0.012 0.187
11 Pr 0.703 0.493 0.118
12 Pr 0.750 0.117 0.554
13 Pr 0.883 0.250 0.946
14 Pr 0.988 0.434 0.313
15 Sm 0.198 0.296 0.546
16 Sm 0.296 0.198 0.046
17 Sm 0.704 0.802 0.954
18 Sm 0.802 0.704 0.454
19 Ho 0.409 0.591 0.250
20 Ho 0.591 0.409 0.750

(4)
For LaPr2SmHo4, a PBE-relaxed structure gives the simulated powder X-ray diffraction pattern in this record (Cu Ka).
Peak positions follow from Bragg's law for the DFT cell and can differ from measured ones.

The 6 most intense peaks (5 to 70 degrees two-theta), in order of rising 2θ:
- 29.5°, intensity 51
- 30.7°, intensity 36
- 32.4°, intensity 100
- 36.8°, intensity 28
- 50.3°, intensity 27
- 60.1°, intensity 32

Atomic structure:
abc: 7.249 7.252 11.636
angles: 90.02 90.01 119.97
Positions (direct):
1 La 0.000 0.000 0.000
2 La 0.500 0.500 0.000
3 Pr 0.000 0.000 0.500
4 Pr 0.000 0.500 0.500
5 Pr 0.500 0.000 0.000
6 Pr 0.500 0.000 0.500
7 Sm 0.000 0.500 0.000
8 Sm 0.500 0.500 0.500
9 Ho 0.166 0.833 0.749
10 Ho 0.167 0.333 0.750
11 Ho 0.334 0.167 0.250
12 Ho 0.334 0.667 0.250
13 Ho 0.666 0.333 0.750
14 Ho 0.666 0.833 0.750
15 Ho 0.833 0.667 0.250
16 Ho 0.834 0.167 0.251

(5)
For La2TbPrHo4, a PBE-relaxed structure gives the simulated powder X-ray diffraction pattern in this record (Cu Ka).
Peak positions follow from Bragg's law for the DFT cell and can differ from measured ones.

The 6 most intense peaks (5 to 70 degrees two-theta), in order of rising 2θ:
- 26.8°, intensity 68
- 30.0°, intensity 51
- 30.2°, intensity 100
- 40.6°, intensity 44
- 40.8°, intensity 88
- 60.7°, intensity 27

Atomic structure:
abc: 9.566 9.566 9.566
angles: 138.17 102.87 91.84
Positions (direct):
1 La 0.000 0.000 0.000
2 La 0.500 0.000 0.000
3 La 0.500 0.000 0.500
4 La 0.500 0.500 0.500
5 Tb 0.000 0.000 0.500
6 Tb 0.000 0.500 0.000
7 Pr 0.000 0.500 0.500
8 Pr 0.500 0.500 0.000
9 Ho 0.245 0.250 0.996
10 Ho 0.246 0.247 0.501
11 Ho 0.246 0.745 0.999
12 Ho 0.246 0.750 0.496
13 Ho 0.754 0.250 0.504
14 Ho 0.754 0.255 0.001
15 Ho 0.754 0.753 0.499
16 Ho 0.755 0.750 0.004

(6)
For La2TbPr2Ho2, a PBE-relaxed structure gives the simulated powder X-ray diffraction pattern in this record (Cu Ka).
Peak positions follow from Bragg's law for the DFT cell and can differ from measured ones.

The 6 most intense peaks (5 to 70 degrees two-theta), in order of rising 2θ:
- 29.9°, intensity 100
- 30.0°, intensity 99
- 34.6°, intensity 34
- 34.7°, intensity 34
- 49.9°, intensity 36
- 59.3°, intensity 43

Atomic structure:
abc: 6.301 6.301 8.200
angles: 97.45 97.45 48.38
Positions (direct):
1 La 0.142 0.142 0.426
2 La 0.858 0.858 0.574
3 Tb 0.000 0.000 0.000
4 Pr 0.286 0.286 0.859
5 Pr 0.714 0.714 0.141
6 Ho 0.430 0.430 0.285
7 Ho 0.570 0.570 0.715

(7)
For La6TbPr2Ho, a PBE-relaxed structure gives the simulated powder X-ray diffraction pattern in this record (Cu Ka).
Peak positions follow from Bragg's law for the DFT cell and can differ from measured ones.

The 6 most intense peaks (5 to 70 degrees two-theta), in order of rising 2θ:
- 28.6°, intensity 30
- 28.8°, intensity 32
- 29.3°, intensity 60
- 30.9°, intensity 41
- 31.0°, intensity 100
- 31.9°, intensity 39

Atomic structure:
abc: 9.168 9.168 9.317
angles: 90.26 90.26 114.56
Positions (direct):
1 La 0.034 0.470 0.681
2 La 0.072 0.780 0.905
3 La 0.220 0.928 0.595
4 La 0.276 0.576 0.091
5 La 0.424 0.724 0.409
6 La 0.470 0.034 0.181
7 La 0.530 0.966 0.819
8 La 0.576 0.276 0.591
9 La 0.724 0.424 0.909
10 La 0.780 0.072 0.405
11 La 0.928 0.220 0.095
12 La 0.966 0.530 0.319
13 Tb 0.433 0.567 0.750
14 Tb 0.567 0.433 0.250
15 Pr 0.206 0.295 0.437
16 Pr 0.295 0.206 0.937
17 Pr 0.705 0.794 0.063
18 Pr 0.794 0.705 0.563
19 Ho 0.070 0.930 0.250
20 Ho 0.930 0.070 0.750

(8)
For LaTb2PrHo, a PBE-relaxed structure gives the simulated powder X-ray diffraction pattern in this record (Cu Ka).
Peak positions follow from Bragg's law for the DFT cell and can differ from measured ones.

The 6 most intense peaks (5 to 70 degrees two-theta), in order of rising 2θ:
- 26.0°, intensity 40
- 29.1°, intensity 48
- 30.7°, intensity 48
- 32.5°, intensity 100
- 35.5°, intensity 41
- 45.3°, intensity 50

Atomic structure:
abc: 7.213 7.213 7.229
angles: 90.00 90.00 107.82
Positions (direct):
1 La 0.235 0.765 0.750
2 La 0.765 0.235 0.250
3 Tb 0.187 0.187 0.000
4 Tb 0.187 0.187 0.500
5 Tb 0.813 0.813 0.000
6 Tb 0.813 0.813 0.500
7 Pr 0.498 0.502 0.750
8 Pr 0.502 0.498 0.250
9 Ho 0.219 0.781 0.250
10 Ho 0.781 0.219 0.750

(9)
For LaTbPr2Ho4, a PBE-relaxed structure gives the simulated powder X-ray diffraction pattern in this record (Cu Ka).
Peak positions follow from Bragg's law for the DFT cell and can differ from measured ones.

The 6 most intense peaks (5 to 70 degrees two-theta), in order of rising 2θ:
- 30.4°, intensity 100
- 34.8°, intensity 17
- 35.1°, intensity 17
- 35.8°, intensity 16
- 59.7°, intensity 15
- 60.0°, intensity 14

Atomic structure:
abc: 7.258 7.262 10.044
angles: 89.96 89.95 89.64
Positions (direct):
1 La 0.000 0.000 0.000
2 La 0.000 0.500 0.000
3 Tb 0.000 0.000 0.500
4 Tb 0.500 0.000 0.000
5 Pr 0.000 0.500 0.500
6 Pr 0.500 0.000 0.500
7 Pr 0.500 0.500 0.000
8 Pr 0.500 0.500 0.500
9 Ho 0.251 0.248 0.251
10 Ho 0.251 0.248 0.749
11 Ho 0.251 0.752 0.251
12 Ho 0.251 0.752 0.749
13 Ho 0.749 0.248 0.251
14 Ho 0.749 0.248 0.749
15 Ho 0.749 0.752 0.251
16 Ho 0.749 0.752 0.749

(10)
For LaPr2HoTe5, a PBE-relaxed structure gives the simulated powder X-ray diffraction pattern in this record (Cu Ka).
Peak positions follow from Bragg's law for the DFT cell and can differ from measured ones.

The 6 most intense peaks (5 to 70 degrees two-theta), in order of rising 2θ:
- 7.4°, intensity 93
- 22.7°, intensity 85
- 27.7°, intensity 37
- 32.1°, intensity 56
- 32.4°, intensity 100
- 34.2°, intensity 45

Atomic structure:
abc: 5.531 5.531 11.892
angles: 90.00 90.00 90.00
Positions (direct):
1 La 0.000 0.000 0.000
2 Pr 0.500 0.500 0.342
3 Pr 0.500 0.500 0.658
4 Ho 0.000 0.000 0.500
5 Te 0.000 0.000 0.251
6 Te 0.000 0.000 0.749
7 Te 0.000 0.500 0.500
8 Te 0.500 0.000 0.500
9 Te 0.500 0.500 0.000

(11)
For LaPr2Ho4Tm, a PBE-relaxed structure gives the simulated powder X-ray diffraction pattern in this record (Cu Ka).
Peak positions follow from Bragg's law for the DFT cell and can differ from measured ones.

The 6 most intense peaks (5 to 70 degrees two-theta), in order of rising 2θ:
- 26.8°, intensity 67
- 30.1°, intensity 50
- 30.2°, intensity 100
- 40.7°, intensity 44
- 40.9°, intensity 88
- 60.8°, intensity 27

Atomic structure:
abc: 9.545 9.545 6.816
angles: 110.91 110.91 88.22
Positions (direct):
1 La 0.000 0.500 0.000
2 La 0.500 0.000 0.500
3 Pr 0.000 0.000 0.000
4 Pr 0.000 0.000 0.500
5 Pr 0.000 0.500 0.500
6 Pr 0.500 0.000 0.000
7 Ho 0.256 0.257 0.008
8 Ho 0.257 0.256 0.508
9 Ho 0.257 0.743 0.501
10 Ho 0.257 0.743 0.999
11 Ho 0.743 0.257 0.001
12 Ho 0.743 0.257 0.499
13 Ho 0.743 0.744 0.492
14 Ho 0.744 0.743 0.992
15 Tm 0.500 0.500 0.000
16 Tm 0.500 0.500 0.500

(12)
For LaPr2HoTm2, a PBE-relaxed structure gives the simulated powder X-ray diffraction pattern in this record (Cu Ka).
Peak positions follow from Bragg's law for the DFT cell and can differ from measured ones.

The 6 most intense peaks (5 to 70 degrees two-theta), in order of rising 2θ:
- 31.1°, intensity 100
- 31.3°, intensity 75
- 31.4°, intensity 37
- 44.7°, intensity 25
- 55.5°, intensity 33
- 61.7°, intensity 32

Atomic structure:
abc: 7.077 9.925 5.698
angles: 90.00 90.00 90.00
Positions (direct):
1 La 0.000 0.000 0.000
2 La 0.500 0.500 0.500
3 Pr 0.245 0.333 0.000
4 Pr 0.255 0.833 0.500
5 Pr 0.745 0.167 0.500
6 Pr 0.755 0.667 0.000
7 Ho 0.000 0.500 0.500
8 Ho 0.500 0.000 0.000
9 Tm 0.249 0.167 0.500
10 Tm 0.251 0.667 0.000
11 Tm 0.749 0.333 0.000
12 Tm 0.751 0.833 0.500